Entry 1:
# Ba2AlTlSn2O7
Theoretical powder diffraction line list, copper Kα. Input: a structure optimized by DFT (GGA-PBE).
Kinematic intensities with the Lorentz-polarization factor, no thermal factor.

Top 6 peaks for 2θ from 10° to 90°, in order of falling intensity:
2theta, I (rel.)
29.82, 100.0
30.42, 67.6
25.46, 40.1
53.68, 39.9
43.55, 35.1
46.72, 26.6

a = 4.1562 Å, b = 4.1562 Å, c = 12.9662 Å
α = 90.00°, β = 90.00°, γ = 90.00°
Fractional positions:
Ba: 0.0000 0.0000 0.1911
Ba: 0.0000 0.0000 0.8089
Al: 0.0000 0.0000 0.5000
Tl: 0.5000 0.5000 0.0000
Sn: 0.5000 0.5000 0.3738
Sn: 0.5000 0.5000 0.6262
O: 0.0000 0.0000 0.0000
O: 0.0000 0.5000 0.4010
O: 0.0000 0.5000 0.5990
O: 0.5000 0.0000 0.4010
O: 0.5000 0.0000 0.5990
O: 0.5000 0.5000 0.2161
O: 0.5000 0.5000 0.7839


Entry 2:
# TbMgSe3
Theoretical powder diffraction line list, copper Kα. Input: a structure optimized by DFT (GGA-PBE).
Kinematic intensities with the Lorentz-polarization factor, no thermal factor.

Top 6 peaks for 2θ from 10° to 90°, in order of falling intensity:
2theta, I (rel.)
29.28, 100.0
38.18, 66.8
45.33, 42.2
13.77, 27.4
23.67, 22.2
17.40, 21.1

a = 7.5737 Å, b = 7.5737 Å, c = 7.5737 Å
α = 54.45°, β = 54.45°, γ = 54.45°
Fractional positions:
Tb: 0.1524 0.1524 0.1524
Tb: 0.8476 0.8476 0.8476
Mg: 0.3389 0.3389 0.3389
Mg: 0.6611 0.6611 0.6611
Se: 0.0771 0.4499 0.7232
Se: 0.2768 0.9229 0.5501
Se: 0.4499 0.7232 0.0771
Se: 0.5501 0.2768 0.9229
Se: 0.7232 0.0771 0.4499
Se: 0.9229 0.5501 0.2768


Entry 3:
# Ce2Al3GaPd4
Theoretical powder diffraction line list, copper Kα. Input: a structure optimized by DFT (GGA-PBE).
Kinematic intensities with the Lorentz-polarization factor, no thermal factor.

Top 6 peaks for 2θ from 10° to 90°, in order of falling intensity:
2theta, I (rel.)
34.20, 100.0
42.12, 53.5
33.19, 52.7
54.64, 25.1
48.57, 24.7
71.91, 22.3

a = 4.2907 Å, b = 4.2907 Å, c = 10.4195 Å
α = 90.00°, β = 90.00°, γ = 90.00°
Fractional positions:
Ce: 0.0000 0.5000 0.2450
Ce: 0.5000 0.0000 0.7550
Al: 0.0000 0.0000 0.0000
Al: 0.0000 0.5000 0.6250
Al: 0.5000 0.0000 0.3750
Ga: 0.5000 0.5000 0.0000
Pd: 0.0000 0.0000 0.5000
Pd: 0.0000 0.5000 0.8639
Pd: 0.5000 0.0000 0.1361
Pd: 0.5000 0.5000 0.5000


Entry 4:
# NbCuTe2
Theoretical powder diffraction line list, copper Kα. Input: a structure optimized by DFT (GGA-PBE).
Kinematic intensities with the Lorentz-polarization factor, no thermal factor.

Top 6 peaks for 2θ from 10° to 90°, in order of falling intensity:
2theta, I (rel.)
31.72, 100.0
43.98, 63.5
46.54, 52.7
28.03, 52.5
27.56, 45.9
34.73, 43.3

a = 6.7969 Å, b = 3.8409 Å, c = 7.3276 Å
α = 90.00°, β = 107.75°, γ = 90.00°
Fractional positions:
Nb: 0.1745 0.2500 0.4944
Nb: 0.8255 0.7500 0.5056
Cu: 0.3922 0.2500 0.9089
Cu: 0.6078 0.7500 0.0911
Te: 0.0100 0.7500 0.2123
Te: 0.4951 0.7500 0.7061
Te: 0.5049 0.2500 0.2939
Te: 0.9900 0.2500 0.7877